The following is a simulated powder X-ray diffraction pattern of Rb2Gd2Te3S. It was derived from a DFT-relaxed cell (GGA-PBE, OQMD), using λ = 1.5418 Å (Cu Kα).
No peak broadening, texture or thermal motion is included.

The 8 most intense peaks (10 to 80 degrees two-theta), in order of rising 2θ:
- 10.53 deg, I 450, (0 0 2)
- 25.56 deg, I 666, (1 0 2)
- 28.23 deg, I 1000, (1 0 3)
- 31.61 deg, I 460, (0 1 4)
- 39.87 deg, I 447, (0 1 6)
- 40.82 deg, I 599, (1 1 0)
- 50.36 deg, I 196, (0 2 3)
- 66.75 deg, I 175, (2 1 3)

```
Rb2Gd2Te3S
1.0
4.4217 0.0000 0.0000
-2.2109 3.8293 0.0000
0.0000 0.0000 16.8075
Rb Gd Te S
2 2 3 1
direct
0.0000 0.0000 0.0000 Rb
0.3333 0.6667 0.4788 Rb
0.6667 0.3333 0.2607 Gd
0.6667 0.3333 0.7396 Gd
0.0000 0.0000 0.6333 Te
0.3333 0.6667 0.1530 Te
0.3333 0.6667 0.8453 Te
0.0000 0.0000 0.3394 S
```